No. 1
The following is a theoretical PXRD pattern of CsKIn2Te4. It was derived from a crystal structure in Alexandria, relaxed with GGA-PBE, using Cu Ka.
Intensities are scaled so that the largest is 100.

Cell and atoms:
```
8
Lattice="-4.098 4.597 5.034 4.098 -4.597 5.034 4.098 4.597 -5.034" Properties=species:S:1:pos:R:3 pbc="T T T"
Cs 0.000 0.000 0.000
K 0.000 0.000 5.034
In 4.098 0.000 2.884
In 0.000 4.597 2.150
Te 1.933 2.807 -2.210
Te 2.166 1.790 2.824
Te 2.166 -1.790 7.244
Te 1.933 6.388 2.210
```

Largest 10 diffraction maxima, in order of rising 2θ, 10 to 90 degrees two-theta:
2theta  intensity
17.62  61
22.88  100
23.89  55
28.08  27
29.19  88
34.30  28
36.00  25
38.73  33
41.79  27
46.74  26



No. 2
The following is a theoretical PXRD pattern of CsLaInSi2. It was derived from a crystal structure in Alexandria, relaxed with GGA-PBE, using Cu Ka.
Intensities are scaled so that the largest is 100.

Cell and atoms:
```
5
Lattice="5.663 0.000 0.000 0.000 5.663 0.000 0.000 0.000 5.762" Properties=species:S:1:pos:R:3 pbc="T T T"
Cs 0.000 0.000 0.000
La 0.000 0.000 2.881
In 2.832 2.832 2.881
Si 0.000 2.832 0.000
Si 2.832 0.000 0.000
```

Largest 10 diffraction maxima, in order of rising 2θ, 10 to 90 degrees two-theta:
2theta  intensity
15.65  48
22.20  100
27.12  39
31.04  40
31.60  76
38.49  49
44.88  57
45.29  28
55.92  29
60.91  25